1.
Structure and theoretical XRD peak list of Mg3Bi3N5 (a cell relaxed with PBE; λ = 1.5418 Å (Cu Kα)).

Main lines, sorted by position (2θ = 5–70°):
hkl 0 1 1, 2θ = 16.83°, d 5.267, I = 86
hkl 1 1 0, 2θ = 19.75°, d 4.496, I = 100
hkl -1 2 1, 2θ = 28.17°, d 3.168, I = 91
hkl 0 2 -2, 2θ = 28.71°, d 3.109, I = 37
hkl 1 -1 2, 2θ = 29.40°, d 3.038, I = 76
hkl 2 0 0, 2θ = 30.05°, d 2.974, I = 35
hkl -2 1 1, 2θ = 30.85°, d 2.899, I = 58
hkl 1 2 -2, 2θ = 30.99°, d 2.886, I = 35
hkl 1 0 -3, 2θ = 31.79°, d 2.815, I = 53
hkl 1 2 1, 2θ = 33.39°, d 2.683, I = 50

Structural model:
Unit cell a=6.1709 b=7.8897 c=8.7292 alpha=98.23 beta=104.24 gamma=93.86
Space group P-1 (No. 2)
Inequivalent atoms, fractional coordinates:
Mg 0.1066 0.1871 0.0504
Mg 0.1296 0.3915 0.7401
Mg 0.2747 0.4797 0.4132
Bi 0.2268 0.9886 0.3895
Bi 0.2797 0.7566 0.7171
Bi 0.3610 0.5976 0.1147
N 0.0067 0.3687 0.2208
N 0.1416 0.7332 0.4457
N 0.1452 0.9527 0.1440
N 0.3217 0.3408 0.9588
N 0.4142 0.4974 0.6609


2.
Structure and theoretical XRD peak list of Mo3WSe6S2 (a cell relaxed with PBE; λ = 1.5418 Å (Cu Kα)).

Main lines, sorted by position (2θ = 5–70°):
hkl 0 0 3, 2θ = 7.20°, d 12.273, I = 42
hkl 0 0 5, 2θ = 12.02°, d 7.364, I = 100
hkl 1 0 0, 2θ = 31.44°, d 2.845, I = 35
hkl 1 0 5, 2θ = 33.75°, d 2.655, I = 14
hkl 0 1 7, 2θ = 35.87°, d 2.504, I = 21
hkl 1 0 8, 2θ = 37.13°, d 2.421, I = 53
hkl 0 1 12, 2θ = 43.36°, d 2.087, I = 17
hkl 1 0 13, 2θ = 45.16°, d 2.008, I = 43
hkl 1 1 0, 2θ = 55.95°, d 1.644, I = 23
hkl 1 1 5, 2θ = 57.45°, d 1.604, I = 12

Structural model:
Unit cell a=3.2875 b=3.2875 c=36.8190 alpha=90.00 beta=90.00 gamma=120.00
Space group P3m1 (No. 156)
Inequivalent atoms, fractional coordinates:
Mo 0.0000 0.0000 0.0000
Mo 0.0000 0.0000 0.3934
Mo 0.3333 0.6667 0.1976
W 0.3333 0.6667 0.5876
Se 0.0000 0.0000 0.1518
Se 0.0000 0.0000 0.2434
Se 0.3333 0.6667 0.0458
Se 0.3333 0.6667 0.3476
Se 0.3333 0.6667 0.4392
Se 0.3333 0.6667 0.9542
S 0.0000 0.0000 0.5458
S 0.0000 0.0000 0.6294


3.
Structure and theoretical XRD peak list of PmLuHgBi (a cell relaxed with PBE; λ = 1.5418 Å (Cu Kα)).

Main lines, sorted by position (2θ = 5–70°):
hkl 2 0 0, 2θ = 23.28°, d 3.820, I = 2
hkl 2 2 0, 2θ = 33.16°, d 2.701, I = 100
hkl 2 2 2, 2θ = 40.92°, d 2.206, I = 1
hkl 4 0 0, 2θ = 47.61°, d 1.910, I = 18
hkl 4 2 0, 2θ = 53.64°, d 1.709, I = 1
hkl 4 2 2, 2θ = 59.25°, d 1.560, I = 39
hkl 4 4 0, 2θ = 69.61°, d 1.351, I = 12

Structural model:
Unit cell a=7.6407 b=7.6407 c=7.6407 alpha=90.00 beta=90.00 gamma=90.00
Space group F-43m (No. 216)
Inequivalent atoms, fractional coordinates:
Pm 0.0000 0.0000 0.0000
Lu 0.0000 0.0000 0.5000
Hg 0.2500 0.2500 0.7500
Bi 0.2500 0.2500 0.2500


4.
Structure and theoretical XRD peak list of Ba2Tl4Cd3 (a cell relaxed with PBE; λ = 1.5418 Å (Cu Kα)).

Main lines, sorted by position (2θ = 5–70°):
hkl 1 5 1, 2θ = 29.56°, d 3.022, I = 77
hkl 0 2 3, 2θ = 29.80°, d 2.998, I = 39
hkl 2 2 1, 2θ = 30.37°, d 2.943, I = 40
hkl 0 6 1, 2θ = 30.93°, d 2.892, I = 30
hkl 2 0 2, 2θ = 33.09°, d 2.707, I = 100
hkl 0 6 2, 2θ = 35.06°, d 2.559, I = 28
hkl 0 0 4, 2θ = 37.78°, d 2.381, I = 20
hkl 3 5 1, 2θ = 49.44°, d 1.844, I = 19
hkl 4 0 0, 2θ = 55.88°, d 1.645, I = 21
hkl 2 6 4, 2θ = 56.53°, d 1.628, I = 20

Structural model:
Unit cell a=6.5812 b=18.2086 c=9.5255 alpha=90.00 beta=90.00 gamma=90.00
Space group Cmce (No. 64)
Inequivalent atoms, fractional coordinates:
Ba 0.0000 0.1097 0.0886
Tl 0.0000 0.1830 0.4844
Tl 0.2500 0.0570 0.7500
Cd 0.0000 0.0000 0.5000
Cd 0.2500 0.2236 0.7500


5.
Structure and theoretical XRD peak list of PrSmYHo (a cell relaxed with PBE; λ = 1.5418 Å (Cu Kα)).

Main lines, sorted by position (2θ = 5–70°):
hkl 1 0 1, 2θ = 19.42°, d 4.572, I = 4
hkl 1 1 2, 2θ = 30.31°, d 2.948, I = 100
hkl 2 0 0, 2θ = 35.06°, d 2.559, I = 34
hkl 0 0 4, 2θ = 35.31°, d 2.542, I = 17
hkl 2 1 1, 2θ = 40.39°, d 2.233, I = 1
hkl 2 2 0, 2θ = 50.43°, d 1.810, I = 12
hkl 2 0 4, 2θ = 50.61°, d 1.803, I = 24
hkl 3 1 2, 2θ = 59.98°, d 1.542, I = 29
hkl 1 1 6, 2θ = 60.31°, d 1.535, I = 14
hkl 2 2 4, 2θ = 63.06°, d 1.474, I = 12

Structural model:
Unit cell a=5.1187 b=5.1187 c=10.1665 alpha=90.00 beta=90.00 gamma=90.00
Space group I-4m2 (No. 119)
Inequivalent atoms, fractional coordinates:
Pr 0.0000 0.0000 0.0000
Sm 0.0000 0.5000 0.7500
Y 0.0000 0.5000 0.2500
Ho 0.0000 0.0000 0.5000


6.
Structure and theoretical XRD peak list of Sc5As3 (a cell relaxed with PBE; λ = 1.5418 Å (Cu Kα)).

Main lines, sorted by position (2θ = 5–70°):
hkl 1 1 1, 2θ = 22.80°, d 3.901, I = 36
hkl 2 2 -2, 2θ = 35.80°, d 2.508, I = 79
hkl 3 1 1, 2θ = 36.31°, d 2.474, I = 65
hkl 0 2 2, 2θ = 37.64°, d 2.389, I = 47
hkl 4 0 -2, 2θ = 37.79°, d 2.381, I = 56
hkl 4 2 0, 2θ = 38.32°, d 2.349, I = 100
hkl 0 4 1, 2θ = 38.88°, d 2.316, I = 43
hkl 2 4 0, 2θ = 39.05°, d 2.307, I = 35
hkl 2 4 -1, 2θ = 39.93°, d 2.258, I = 66
hkl 2 0 2, 2θ = 42.89°, d 2.109, I = 41

Structural model:
Unit cell a=11.3816 b=10.2561 c=5.8156 alpha=90.00 beta=111.76 gamma=90.00
Space group C2/c (No. 15)
Inequivalent atoms, fractional coordinates:
Sc 0.0000 0.0047 0.2500
Sc 0.0970 0.2797 0.0514
Sc 0.2131 0.4316 0.6441
As 0.0000 0.4990 0.2500
As 0.1498 0.1701 0.6329


7.
Structure and theoretical XRD peak list of ZnAgHgPd (a cell relaxed with PBE; λ = 1.5418 Å (Cu Kα)).

Main lines, sorted by position (2θ = 5–70°):
hkl 1 1 1, 2θ = 23.65°, d 3.762, I = 16
hkl 2 0 0, 2θ = 27.38°, d 3.258, I = 1
hkl 2 2 0, 2θ = 39.10°, d 2.304, I = 100
hkl 3 1 1, 2θ = 46.21°, d 1.965, I = 9
hkl 4 0 0, 2θ = 56.49°, d 1.629, I = 17
hkl 3 3 1, 2θ = 62.09°, d 1.495, I = 4
hkl 4 2 0, 2θ = 63.89°, d 1.457, I = 1

Structural model:
Unit cell a=6.5159 b=6.5159 c=6.5159 alpha=90.00 beta=90.00 gamma=90.00
Space group F-43m (No. 216)
Inequivalent atoms, fractional coordinates:
Zn 0.0000 0.0000 0.0000
Ag 0.2500 0.2500 0.2500
Hg 0.0000 0.0000 0.5000
Pd 0.2500 0.2500 0.7500


8.
Structure and theoretical XRD peak list of Sr2Ga2SnRh5 (a cell relaxed with PBE; λ = 1.5418 Å (Cu Kα)).

Main lines, sorted by position (2θ = 5–70°):
hkl 4 1 0, 2θ = 35.24°, d 2.547, I = 37
hkl 3 3 0, 2θ = 36.24°, d 2.479, I = 31
hkl 3 1 1, 2θ = 38.26°, d 2.352, I = 100
hkl 3 2 1, 2θ = 41.14°, d 2.194, I = 29
hkl 4 0 1, 2θ = 43.92°, d 2.062, I = 12
hkl 0 0 2, 2θ = 55.06°, d 1.668, I = 13
hkl 5 5 0, 2θ = 62.52°, d 1.486, I = 9
hkl 5 4 1, 2θ = 63.18°, d 1.472, I = 8
hkl 4 1 2, 2θ = 67.08°, d 1.395, I = 11
hkl 7 1 1, 2θ = 69.26°, d 1.357, I = 9

Structural model:
Unit cell a=10.5003 b=10.5003 c=3.3361 alpha=90.00 beta=90.00 gamma=90.00
Space group P4/mbm (No. 127)
Inequivalent atoms, fractional coordinates:
Sr 0.1747 0.3253 0.0000
Ga 0.1248 0.6248 0.0000
Sn 0.0000 0.0000 0.0000
Rh 0.0000 0.5000 0.5000
Rh 0.0632 0.7956 0.5000